# 1
Simulated X-ray diffraction stick pattern of Lu11Te4 for Cu Ka, from a crystal structure in the Materials Project, relaxed with GGA-PBE.
Lines closer than 0.1° are merged.

Atomic structure:
Lattice parameters (Å, degrees): 30.632 3.947 21.271 90.00 102.80 90.00
Space group C2/m (No. 12)
Asymmetric unit:
Lu 0.000 0.000 0.000 [2 per cell]
Lu 0.032 0.000 0.445 [4 per cell]
Lu 0.032 0.000 0.835 [4 per cell]
Lu 0.036 0.500 0.308 [4 per cell]
Lu 0.043 0.500 0.118 [4 per cell]
Lu 0.061 0.500 0.586 [4 per cell]
Lu 0.074 0.500 0.962 [4 per cell]
Lu 0.106 0.500 0.779 [4 per cell]
Lu 0.127 0.000 0.092 [4 per cell]
Lu 0.131 0.000 0.369 [4 per cell]
Lu 0.151 0.000 0.904 [4 per cell]
Lu 0.159 0.500 0.255 [4 per cell]
Lu 0.172 0.000 0.565 [4 per cell]
Lu 0.204 0.000 0.781 [4 per cell]
Lu 0.214 0.500 0.456 [4 per cell]
Lu 0.243 0.000 0.346 [4 per cell]
Lu 0.245 0.500 0.927 [4 per cell]
Te 0.042 0.000 0.689 [4 per cell]
Te 0.080 0.000 0.225 [4 per cell]
Te 0.113 0.500 0.473 [4 per cell]
Te 0.158 0.500 0.672 [4 per cell]
Te 0.178 0.500 0.020 [4 per cell]
Te 0.216 0.000 0.194 [4 per cell]

Largest 10 diffraction maxima, sorted by position, 10 to 90 degrees two-theta:
- 2θ = 30.81°, I 47
- 2θ = 30.98°, I 80
- 2θ = 31.84°, I 79
- 2θ = 32.58°, I 100
- 2θ = 33.34°, I 77
- 2θ = 33.98°, I 52
- 2θ = 34.14°, I 56
- 2θ = 35.28°, I 49
- 2θ = 35.52°, I 63
- 2θ = 45.99°, I 77

***

# 2
Simulated X-ray diffraction stick pattern of LuSeO3F for Cu Ka, from a crystal structure in the Materials Project, relaxed with GGA-PBE.
Lines closer than 0.1° are merged.

Atomic structure:
Lattice parameters (Å, degrees): 6.545 6.898 7.103 90.00 98.07 90.00
Space group P2_1/c (No. 14)
Asymmetric unit:
Lu 0.137 0.142 0.326 [4 per cell]
Se 0.352 0.621 0.290 [4 per cell]
O 0.172 0.029 0.646 [4 per cell]
O 0.174 0.691 0.779 [4 per cell]
O 0.479 0.187 0.362 [4 per cell]
F 0.164 0.121 0.027 [4 per cell]

Largest 10 diffraction maxima, sorted by position, 10 to 90 degrees two-theta:
- 2θ = 13.66°, I 31
- 2θ = 18.79°, I 20
- 2θ = 25.33°, I 43
- 2θ = 27.10°, I 24
- 2θ = 28.83°, I 100
- 2θ = 30.48°, I 58
- 2θ = 31.52°, I 32
- 2θ = 34.60°, I 26
- 2θ = 50.69°, I 18
- 2θ = 51.44°, I 18